[1]
Structure and theoretical powder diffractogram of PaW2Se2S4 (a cell relaxed with GGA-PBE; CuKα).
Intensities are scaled so that the largest is 100.

Largest 10 diffraction maxima, in order of falling intensity, 15 to 90 degrees two-theta:
2theta  I/Imax
37.2  100
33.2  59
30.7  54
45.9  52
35.0  47
54.5  41
31.8  38
56.1  34
39.8  33
42.7  21

Structure:
```
PaW2Se2S4
1.0
3.3658 0.0000 0.0000
-1.6829 2.9149 0.0000
0.0000 0.0000 21.5357
Pa W Se S
1 2 2 4
Direct
0.0000 0.0000 0.0000 Pa
0.0000 0.0000 0.6499 W
0.6667 0.3333 0.3339 W
0.6667 0.3333 0.0933 Se
0.6667 0.3333 0.9068 Se
0.0000 0.0000 0.2636 S
0.0000 0.0000 0.4043 S
0.6667 0.3333 0.5795 S
0.6667 0.3333 0.7202 S
```



[2]
Structure and theoretical powder diffractogram of SmPa3S4 (a cell relaxed with GGA-PBE; CuKα).
Intensities are scaled so that the largest is 100.

Largest 10 diffraction maxima, in order of falling intensity, 15 to 90 degrees two-theta:
2theta  I/Imax
32.4  100
27.2  81
46.4  74
28.6  71
32.3  50
56.2  44
53.9  26
44.7  21
59.2  18
48.2  17

Structure:
```
SmPa3S4
1.0
8.1152 0.0000 0.0000
0.0000 11.0943 0.0000
0.0000 0.0000 3.7767
Sm Pa S
2 6 8
Direct
0.0000 0.0000 0.0000 Sm
0.5000 0.5000 0.0000 Sm
0.0000 0.5000 0.0000 Pa
0.2500 0.2500 0.5000 Pa
0.2500 0.7500 0.5000 Pa
0.5000 0.0000 0.0000 Pa
0.7500 0.2500 0.5000 Pa
0.7500 0.7500 0.5000 Pa
0.0000 0.2507 0.0000 S
0.0000 0.7493 0.0000 S
0.2482 0.5000 0.5000 S
0.2518 0.0000 0.5000 S
0.5000 0.2493 0.0000 S
0.5000 0.7507 0.0000 S
0.7482 0.0000 0.5000 S
0.7518 0.5000 0.5000 S
```



[3]
Structure and theoretical powder diffractogram of Sm2Pa2S7 (a cell relaxed with GGA-PBE; CuKα).
Intensities are scaled so that the largest is 100.

Largest 10 diffraction maxima, in order of falling intensity, 15 to 90 degrees two-theta:
2theta  I/Imax
23.5  100
38.8  68
46.0  34
27.2  16
45.8  16
70.4  15
61.6  13
75.4  8
56.2  8
27.1  8

Structure:
```
Sm2Pa2S7
1.0
4.6298 0.0000 0.0000
0.0000 4.6298 0.0000
0.0000 0.0000 13.1601
Sm Pa S
2 2 7
Direct
0.0000 0.5000 0.1392 Sm
0.5000 0.0000 0.8608 Sm
0.0000 0.5000 0.6231 Pa
0.5000 0.0000 0.3769 Pa
0.0000 0.0000 0.2440 S
0.0000 0.0000 0.5000 S
0.0000 0.0000 0.7560 S
0.5000 0.5000 0.0000 S
0.5000 0.5000 0.2611 S
0.5000 0.5000 0.5000 S
0.5000 0.5000 0.7389 S
```



[4]
Structure and theoretical powder diffractogram of PaTl2Sn2S6 (a cell relaxed with GGA-PBE; CuKα).
Intensities are scaled so that the largest is 100.

Largest 10 diffraction maxima, in order of falling intensity, 15 to 90 degrees two-theta:
2theta  I/Imax
30.1  100
41.1  58
26.7  54
29.8  51
15.0  46
23.7  40
44.5  38
26.4  28
18.9  27
54.9  20

Structure:
```
PaTl2Sn2S6
1.0
3.5423 -6.0418 0.0000
3.5423 6.0418 0.0000
-2.3850 0.0000 7.5005
Pa Tl Sn S
1 2 2 6
Direct
0.0000 0.0000 0.0000 Pa
0.1695 0.8305 0.5000 Tl
0.8305 0.1695 0.5000 Tl
0.3314 0.6686 0.0000 Sn
0.6686 0.3314 0.0000 Sn
0.0628 0.3831 0.1943 S
0.2425 0.2425 0.8006 S
0.3831 0.0628 0.1943 S
0.6169 0.9372 0.8057 S
0.7575 0.7575 0.1994 S
0.9372 0.6169 0.8057 S
```



[5]
Structure and theoretical powder diffractogram of Sr2PaTl3S6 (a cell relaxed with GGA-PBE; CuKα).
Intensities are scaled so that the largest is 100.

Largest 10 diffraction maxima, in order of falling intensity, 15 to 90 degrees two-theta:
2theta  I/Imax
29.1  100
25.5  42
40.7  26
24.0  26
42.5  23
25.4  21
49.5  17
40.5  13
52.4  12
42.6  12

Structure:
```
Sr2PaTl3S6
1.0
3.6888 -6.3674 0.0000
3.6888 6.3674 0.0000
-2.4166 0.0000 7.4136
Sr Pa Tl S
2 1 3 6
Direct
0.1664 0.8336 0.0000 Sr
0.8336 0.1664 0.0000 Sr
0.5000 0.5000 0.0000 Pa
0.0000 0.0000 0.5000 Tl
0.3338 0.6662 0.5000 Tl
0.6662 0.3338 0.5000 Tl
0.1343 0.4318 0.7975 S
0.2714 0.2714 0.2111 S
0.4318 0.1343 0.7975 S
0.5682 0.8657 0.2025 S
0.7286 0.7286 0.7889 S
0.8657 0.5682 0.2025 S
```



[6]
Structure and theoretical powder diffractogram of PaTa2S5 (a cell relaxed with GGA-PBE; CuKα).
Intensities are scaled so that the largest is 100.

Largest 10 diffraction maxima, in order of falling intensity, 15 to 90 degrees two-theta:
2theta  I/Imax
33.9  100
28.2  82
43.3  54
37.6  44
35.1  38
26.1  33
31.1  22
54.2  20
62.2  18
38.8  17

Structure:
```
PaTa2S5
1.0
0.0000 6.3330 6.8236
2.5579 0.0000 6.8236
2.5579 6.3330 0.0000
Pa Ta S
1 2 5
Direct
0.0000 0.0000 0.0000 Pa
0.3027 0.6973 0.3027 Ta
0.6973 0.3027 0.6973 Ta
0.0448 0.7121 0.2879 S
0.2879 0.9552 0.0448 S
0.5000 0.5000 0.5000 S
0.7121 0.0448 0.9552 S
0.9552 0.2879 0.7121 S
```



[7]
Structure and theoretical powder diffractogram of PaTa2S6 (a cell relaxed with GGA-PBE; CuKα).
Intensities are scaled so that the largest is 100.

Largest 10 diffraction maxima, in order of falling intensity, 15 to 90 degrees two-theta:
2theta  I/Imax
17.4  100
40.8  66
29.3  40
28.6  29
52.0  21
34.3  18
45.7  17
36.7  16
68.1  15
51.6  12

Structure:
```
PaTa2S6
1.0
3.0469 1.7591 6.4441
-3.0469 1.7591 6.4441
0.0000 -3.5182 6.4441
Pa Ta S
1 2 6
Direct
0.0000 0.0000 0.0000 Pa
0.1663 0.1663 0.1663 Ta
0.8337 0.8337 0.8337 Ta
0.0838 0.7627 0.4266 S
0.2373 0.5734 0.9162 S
0.4266 0.0838 0.7627 S
0.5734 0.9162 0.2373 S
0.7627 0.4266 0.0838 S
0.9162 0.2373 0.5734 S
```



[8]
Structure and theoretical powder diffractogram of Tb2Pa2S7 (a cell relaxed with GGA-PBE; CuKα).
Intensities are scaled so that the largest is 100.

Largest 10 diffraction maxima, in order of falling intensity, 15 to 90 degrees two-theta:
2theta  I/Imax
23.7  100
39.1  68
46.2  50
27.4  24
70.9  22
62.1  20
88.9  15
75.9  15
56.5  11
63.9  10

Structure:
```
Tb2Pa2S7
1.0
4.6048 0.0000 0.0000
0.0000 4.6048 0.0000
0.0000 0.0000 13.0145
Tb Pa S
2 2 7
Direct
0.0000 0.5000 0.1382 Tb
0.5000 0.0000 0.8618 Tb
0.0000 0.5000 0.6246 Pa
0.5000 0.0000 0.3754 Pa
0.0000 0.0000 0.2387 S
0.0000 0.0000 0.5000 S
0.0000 0.0000 0.7613 S
0.5000 0.5000 0.0000 S
0.5000 0.5000 0.2579 S
0.5000 0.5000 0.5000 S
0.5000 0.5000 0.7421 S
```